Record 1
# Pm7In2Pd2
Simulated powder diffraction line list, Cu Kα (weighted mean of Kα1 and Kα2). Input: a DFT-relaxed cell (GGA-PBE, Alexandria).
Kinematic intensities with the Lorentz-polarization factor, no thermal factor.

Crystal structure
```
Pm7In2Pd2
1.0
4.1632 -5.6900 0.0000
4.1632 5.6900 0.0000
0.0000 0.0000 7.2613
Pm In Pd
7 2 2
direct
0.0000 0.0000 0.0000
0.0000 0.5000 0.2579
0.0000 0.5000 0.7421
0.5000 0.0000 0.2579
0.5000 0.0000 0.7421
0.5000 0.5000 0.2505
0.5000 0.5000 0.7495
0.1711 0.1711 0.5000
0.8289 0.8289 0.5000
0.2905 0.7095 0.0000
0.7095 0.2905 0.0000
```

The 10 most intense peaks (10° ≤ 2θ ≤ 90°), in order of rising 2θ:
2θ/deg  I_rel
24.6  34
26.5  53
27.9  45
29.2  19
31.4  64
35.9  47
36.4  100
50.3  19
54.6  23
60.5  19


Record 2
# PmInPd
Simulated powder diffraction line list, Cu Kα (weighted mean of Kα1 and Kα2). Input: a DFT-relaxed cell (GGA-PBE, Alexandria).
Kinematic intensities with the Lorentz-polarization factor, no thermal factor.

Crystal structure
```
PmInPd
1.0
13.7086 0.0000 0.0000
0.0000 3.8929 0.0000
0.0000 0.0000 7.9017
Pm In Pd
6 6 6
direct
0.0466 0.0000 0.2306
0.2500 0.0000 0.8505
0.4534 0.0000 0.2306
0.5466 0.0000 0.7694
0.7500 0.0000 0.1495
0.9534 0.0000 0.7694
0.1159 0.5000 0.5706
0.2500 0.5000 0.1963
0.3841 0.5000 0.5706
0.6159 0.5000 0.4294
0.7500 0.5000 0.8037
0.8841 0.5000 0.4294
0.0969 0.5000 0.9380
0.2500 0.0000 0.4536
0.4031 0.5000 0.9380
0.5969 0.5000 0.0620
0.7500 0.0000 0.5464
0.9031 0.5000 0.0620
```

The 10 most intense peaks (10° ≤ 2θ ≤ 90°), in order of rising 2θ:
2θ/deg  I_rel
32.3  100
33.0  18
34.7  41
34.9  75
39.5  36
41.9  18
46.7  26
59.4  17
62.7  18
63.9  28


Record 3
# Pm4In12Pd
Simulated powder diffraction line list, Cu Kα (weighted mean of Kα1 and Kα2). Input: a DFT-relaxed cell (GGA-PBE, Alexandria).
Kinematic intensities with the Lorentz-polarization factor, no thermal factor.

Crystal structure
```
Pm4In12Pd
1.0
-4.7432 4.7432 4.7432
4.7432 -4.7432 4.7432
4.7432 4.7432 -4.7432
Pm In Pd
4 12 1
direct
0.0000 0.0000 0.5000
0.0000 0.5000 0.0000
0.5000 0.0000 0.0000
0.5000 0.5000 0.5000
0.0000 0.2845 0.2845
0.0000 0.7155 0.7155
0.2500 0.5000 0.7500
0.2500 0.7500 0.5000
0.2845 0.0000 0.2845
0.2845 0.2845 0.0000
0.5000 0.2500 0.7500
0.5000 0.7500 0.2500
0.7155 0.0000 0.7155
0.7155 0.7155 0.0000
0.7500 0.2500 0.5000
0.7500 0.5000 0.2500
0.0000 0.0000 0.0000
```

The 10 most intense peaks (10° ≤ 2θ ≤ 90°), in order of rising 2θ:
2θ/deg  I_rel
26.6  6
32.7  100
35.4  7
37.9  61
44.8  6
54.7  38
65.2  33
68.5  12
73.3  5
81.1  5


Record 4
# PmIn2Sb2Pd7
Simulated powder diffraction line list, Cu Kα (weighted mean of Kα1 and Kα2). Input: a DFT-relaxed cell (GGA-PBE, Alexandria).
Kinematic intensities with the Lorentz-polarization factor, no thermal factor.

Crystal structure
```
PmIn2Sb2Pd7
1.0
2.8532 -2.8664 0.0000
2.8532 2.8664 0.0000
-1.5779 0.0000 15.5765
Pm In Sb Pd
1 2 2 7
direct
0.0000 0.0000 0.0000
0.1235 0.1235 0.4143
0.8765 0.8765 0.5857
0.4260 0.4260 0.7485
0.5740 0.5740 0.2515
0.0423 0.5411 0.1417
0.3833 0.3833 0.5797
0.4589 0.9577 0.8583
0.5000 0.5000 0.0000
0.5411 0.0423 0.1417
0.6167 0.6167 0.4203
0.9577 0.4589 0.8583
```

The 10 most intense peaks (10° ≤ 2θ ≤ 90°), in order of rising 2θ:
2θ/deg  I_rel
34.4  34
34.7  39
35.8  45
39.0  39
40.5  46
40.8  38
41.2  39
42.9  36
44.9  100
64.0  27


Record 5
# PmTmInPd
Simulated powder diffraction line list, Cu Kα (weighted mean of Kα1 and Kα2). Input: a DFT-relaxed cell (GGA-PBE, Alexandria).
Kinematic intensities with the Lorentz-polarization factor, no thermal factor.

Crystal structure
```
PmTmInPd
1.0
7.3463 0.0000 0.0000
0.0000 7.3463 0.0000
0.0000 0.0000 7.3463
Pm Tm In Pd
4 4 4 4
direct
0.0000 0.0000 0.0000
0.0000 0.5000 0.5000
0.5000 0.0000 0.5000
0.5000 0.5000 0.0000
0.0000 0.0000 0.5000
0.0000 0.5000 0.0000
0.5000 0.0000 0.0000
0.5000 0.5000 0.5000
0.2500 0.2500 0.2500
0.2500 0.7500 0.7500
0.7500 0.2500 0.7500
0.7500 0.7500 0.2500
0.2500 0.2500 0.7500
0.2500 0.7500 0.2500
0.7500 0.2500 0.2500
0.7500 0.7500 0.7500
```

The 9 most intense peaks (10° ≤ 2θ ≤ 90°), in order of rising 2θ:
2θ/deg  I_rel
24.2  3
34.5  100
42.6  1
49.6  18
56.0  2
61.9  36
72.8  11
78.0  1
83.2  16


Record 6
# Pr3In2Pd7
Simulated powder diffraction line list, Cu Kα (weighted mean of Kα1 and Kα2). Input: a DFT-relaxed cell (GGA-PBE, Alexandria).
Kinematic intensities with the Lorentz-polarization factor, no thermal factor.

Crystal structure
```
Pr3In2Pd7
1.0
-2.0861 2.0861 14.9241
2.0861 -2.0861 14.9241
2.0861 2.0861 -14.9241
Pr In Pd
3 2 7
direct
0.0000 0.0000 0.0000
0.1812 0.1812 0.0000
0.8188 0.8188 0.0000
0.3722 0.3722 0.0000
0.6278 0.6278 0.0000
0.0720 0.5720 0.5000
0.2800 0.2800 0.0000
0.4280 0.9280 0.5000
0.5000 0.5000 0.0000
0.5720 0.0720 0.5000
0.7200 0.7200 0.0000
0.9280 0.4280 0.5000
```

The 10 most intense peaks (10° ≤ 2θ ≤ 90°), in order of rising 2θ:
2θ/deg  I_rel
30.3  34
30.9  36
34.5  42
35.4  100
38.9  43
39.6  53
43.4  84
60.2  31
63.0  27
74.4  22


Record 7
# PrIn2Pd2
Simulated powder diffraction line list, Cu Kα (weighted mean of Kα1 and Kα2). Input: a DFT-relaxed cell (GGA-PBE, Alexandria).
Kinematic intensities with the Lorentz-polarization factor, no thermal factor.

Crystal structure
```
PrIn2Pd2
1.0
4.9492 0.0000 0.0000
-2.4746 4.2861 0.0000
0.0000 0.0000 15.3696
Pr In Pd
3 6 6
direct
0.0000 0.0000 0.0000
0.3333 0.6667 0.6667
0.6667 0.3333 0.3333
0.0000 0.0000 0.2227
0.0000 0.0000 0.7773
0.3333 0.6667 0.4439
0.3333 0.6667 0.8894
0.6667 0.3333 0.1106
0.6667 0.3333 0.5561
0.0000 0.0000 0.4136
0.0000 0.0000 0.5864
0.3333 0.6667 0.0803
0.3333 0.6667 0.2530
0.6667 0.3333 0.7470
0.6667 0.3333 0.9197
```

The 10 most intense peaks (10° ≤ 2θ ≤ 90°), in order of rising 2θ:
2θ/deg  I_rel
31.3  17
36.0  78
36.3  100
51.3  8
52.0  27
65.1  27
65.3  18
66.5  11
77.1  11
88.1  12


Record 8
# PrIn12Pd4
Simulated powder diffraction line list, Cu Kα (weighted mean of Kα1 and Kα2). Input: a DFT-relaxed cell (GGA-PBE, Alexandria).
Kinematic intensities with the Lorentz-polarization factor, no thermal factor.

Crystal structure
```
PrIn12Pd4
1.0
-4.7975 4.7975 4.7975
4.7975 -4.7975 4.7975
4.7975 4.7975 -4.7975
Pr In Pd
1 12 4
direct
0.0000 0.0000 0.0000
0.1601 0.3375 0.4975
0.1601 0.6625 0.8226
0.1774 0.8399 0.3375
0.3375 0.1774 0.8399
0.3375 0.4975 0.1601
0.4975 0.1601 0.3375
0.5025 0.8399 0.6625
0.6625 0.5025 0.8399
0.6625 0.8226 0.1601
0.8226 0.1601 0.6625
0.8399 0.3375 0.1774
0.8399 0.6625 0.5025
0.0000 0.0000 0.5000
0.0000 0.5000 0.0000
0.5000 0.0000 0.0000
0.5000 0.5000 0.5000
```

The 10 most intense peaks (10° ≤ 2θ ≤ 90°), in order of rising 2θ:
2θ/deg  I_rel
29.4  100
35.0  48
42.1  25
46.4  36
48.4  26
55.9  15
66.0  18
75.5  8
86.0  17
87.4  9


Record 9
# In2Pd7Pt
Simulated powder diffraction line list, Cu Kα (weighted mean of Kα1 and Kα2). Input: a DFT-relaxed cell (GGA-PBE, Alexandria).
Kinematic intensities with the Lorentz-polarization factor, no thermal factor.

Crystal structure
```
In2Pd7Pt
1.0
4.2414 -7.9389 0.0000
4.2414 7.9389 0.0000
0.0000 0.0000 2.8030
In Pd Pt
2 7 1
direct
0.1777 0.8223 0.0000
0.8223 0.1777 0.0000
0.0000 0.0000 0.0000
0.1819 0.3602 0.0000
0.3219 0.6781 0.5000
0.3602 0.1819 0.0000
0.6398 0.8181 0.0000
0.6781 0.3219 0.5000
0.8181 0.6398 0.0000
0.5000 0.5000 0.5000
```

The 10 most intense peaks (10° ≤ 2θ ≤ 90°), in order of rising 2θ:
2θ/deg  I_rel
11.1  35
20.9  21
30.9  30
34.2  45
40.2  100
42.6  38
44.4  52
45.9  40
80.8  23
82.5  25


Record 10
# InPd6Pt12
Simulated powder diffraction line list, Cu Kα (weighted mean of Kα1 and Kα2). Input: a DFT-relaxed cell (GGA-PBE, Alexandria).
Kinematic intensities with the Lorentz-polarization factor, no thermal factor.

Crystal structure
```
InPd6Pt12
1.0
7.2316 0.0000 0.0000
-3.5027 6.4453 0.0000
-2.2197 -2.0819 6.8621
In Pd Pt
1 6 12
direct
0.0000 0.0000 0.0000
0.0453 0.9681 0.3433
0.1725 0.3938 0.3113
0.4121 0.7905 0.0023
0.5879 0.2095 0.9977
0.8275 0.6062 0.6887
0.9547 0.0319 0.6567
0.0975 0.4564 0.6648
0.2463 0.8843 0.6734
0.2869 0.3778 0.9926
0.3245 0.8264 0.3273
0.3887 0.3119 0.6658
0.4653 0.2555 0.3198
0.5347 0.7445 0.6802
0.6113 0.6881 0.3342
0.6755 0.1736 0.6727
0.7131 0.6222 0.0074
0.7537 0.1157 0.3266
0.9025 0.5436 0.3352
```

The 10 most intense peaks (10° ≤ 2θ ≤ 90°), in order of rising 2θ:
2θ/deg  I_rel
12.9  15
39.4  61
39.7  60
39.8  100
44.7  43
46.7  33
47.0  31
68.0  13
79.1  13
82.3  13


Record 11
# In6PdPt10
Simulated powder diffraction line list, Cu Kα (weighted mean of Kα1 and Kα2). Input: a DFT-relaxed cell (GGA-PBE, Alexandria).
Kinematic intensities with the Lorentz-polarization factor, no thermal factor.

Crystal structure
```
In6PdPt10
1.0
4.4789 -6.1545 0.0000
4.4789 6.1545 0.0000
-1.5717 0.0000 5.4802
In Pd Pt
6 1 10
direct
0.0130 0.6950 0.7062
0.3050 0.9870 0.2938
0.3453 0.3453 0.6878
0.6547 0.6547 0.3122
0.6950 0.0130 0.7062
0.9870 0.3050 0.2938
0.0000 0.0000 0.5000
0.0072 0.3424 0.8150
0.3245 0.3245 0.1751
0.3319 0.6681 0.0000
0.3322 0.6678 0.5000
0.3424 0.0072 0.8150
0.6576 0.9928 0.1850
0.6681 0.3319 0.0000
0.6678 0.3322 0.5000
0.6755 0.6755 0.8249
0.9928 0.6576 0.1850
```

The 10 most intense peaks (10° ≤ 2θ ≤ 90°), in order of rising 2θ:
2θ/deg  I_rel
12.5  12
38.3  100
38.5  97
43.8  32
44.1  34
45.9  29
63.9  21
65.6  29
77.3  13
77.4  12


Record 12
# In2Pd4Pt
Simulated powder diffraction line list, Cu Kα (weighted mean of Kα1 and Kα2). Input: a DFT-relaxed cell (GGA-PBE, Alexandria).
Kinematic intensities with the Lorentz-polarization factor, no thermal factor.

Crystal structure
```
In2Pd4Pt
1.0
7.6440 0.0000 0.0000
0.0000 8.1697 0.0000
0.0000 0.0000 4.0466
In Pd Pt
4 8 2
direct
0.2312 0.0000 0.0000
0.2688 0.5000 0.0000
0.7312 0.5000 0.0000
0.7688 0.0000 0.0000
0.0000 0.2544 0.0000
0.0000 0.7456 0.0000
0.2500 0.2500 0.5000
0.2500 0.7500 0.5000
0.5000 0.2456 0.0000
0.5000 0.7544 0.0000
0.7500 0.2500 0.5000
0.7500 0.7500 0.5000
0.0000 0.5000 0.5000
0.5000 0.0000 0.5000
```

The 10 most intense peaks (10° ≤ 2θ ≤ 90°), in order of rising 2θ:
2θ/deg  I_rel
15.9  18
27.2  16
39.2  100
44.4  18
44.8  17
47.6  14
64.9  11
78.2  13
78.8  13
84.3  10